For Ca2CdHg3, a structure optimized by DFT (PBE) gives the theoretical powder diffraction line list in this record (Cu Kα (weighted mean of Kα1 and Kα2)).

Top 10 peaks for 2θ = 5–70°, in order of falling intensity:
Position (°2θ)	d/Å	I_rel
35.97	2.496	100
32.17	2.783	83
44.00	2.058	72
24.49	3.635	55
20.54	4.324	45
63.29	1.469	38
49.02	1.858	26
62.26	1.491	16
50.19	1.818	13
64.63	1.442	12

Cell: 9.981 9.373 6.180 Å, 76.81 66.11 37.08°
Atoms (fractional coordinates):
Ca 0.247 0.753 0.753
Ca 0.250 0.250 0.250
Ca 0.750 0.750 0.750
Ca 0.753 0.247 0.247
Cd 0.333 0.333 0.667
Cd 0.667 0.667 0.333
Hg 0.168 0.168 0.832
Hg 0.168 0.664 0.336
Hg 0.336 0.832 0.168
Hg 0.664 0.168 0.832
Hg 0.832 0.336 0.664
Hg 0.832 0.832 0.168

For Rb2NaZn2H5C4O14, a structure optimized by DFT (PBE) gives the theoretical powder diffraction line list in this record (Cu Kα (weighted mean of Kα1 and Kα2)).

Top 10 peaks for 2θ = 5–70°, in order of falling intensity:
Position (°2θ)	d/Å	I_rel
28.64	3.117	100
29.11	3.067	85
18.57	4.778	83
31.46	2.844	63
34.22	2.620	56
31.87	2.808	48
30.63	2.919	48
28.53	3.129	45
18.07	4.909	43
30.75	2.907	42

Cell: 5.243 11.630 11.897 Å, 90.00 114.44 90.00°
Atoms (fractional coordinates):
Rb 0.045 0.166 0.079
Rb 0.045 0.334 0.579
Rb 0.955 0.666 0.421
Rb 0.955 0.834 0.921
Na 0.000 0.000 0.500
Na 0.000 0.500 0.000
Zn 0.323 0.608 0.794
Zn 0.323 0.892 0.294
Zn 0.677 0.108 0.706
Zn 0.677 0.392 0.206
H 0.049 0.698 0.175
H 0.049 0.802 0.675
H 0.371 0.673 0.218
H 0.371 0.827 0.718
H 0.500 0.000 0.000
H 0.500 0.500 0.500
H 0.629 0.173 0.282
H 0.629 0.327 0.782
H 0.951 0.198 0.325
H 0.951 0.302 0.825
C 0.294 0.069 0.819
C 0.294 0.431 0.319
C 0.432 0.126 0.438
C 0.432 0.374 0.938
C 0.568 0.626 0.062
C 0.568 0.874 0.562
C 0.706 0.569 0.681
C 0.706 0.931 0.181
O 0.060 0.060 0.831
O 0.060 0.440 0.331
O 0.211 0.163 0.448
O 0.211 0.337 0.948
O 0.240 0.717 0.244
O 0.240 0.783 0.744
O 0.304 0.108 0.719
O 0.304 0.392 0.219
O 0.331 0.616 0.963
O 0.331 0.884 0.463
O 0.430 0.097 0.332
O 0.430 0.403 0.832
O 0.472 0.539 0.589
O 0.472 0.961 0.089
O 0.528 0.039 0.911
O 0.528 0.461 0.411
O 0.570 0.597 0.168
O 0.570 0.903 0.668
O 0.669 0.116 0.537
O 0.669 0.384 0.037
O 0.696 0.608 0.781
O 0.696 0.892 0.281
O 0.760 0.217 0.256
O 0.760 0.283 0.756
O 0.789 0.663 0.052
O 0.789 0.837 0.552
O 0.940 0.560 0.669
O 0.940 0.940 0.169

For HoPd14Au, a structure optimized by DFT (PBE) gives the theoretical powder diffraction line list in this record (Cu Kα (weighted mean of Kα1 and Kα2)).

Top 10 peaks for 2θ = 5–70°, in order of falling intensity:
Position (°2θ)	d/Å	I_rel
38.95	2.312	100
45.41	1.997	32
65.87	1.418	21
45.02	2.013	16
66.17	1.412	10
24.88	3.578	2
10.99	8.054	2
33.63	2.665	1
22.26	3.994	1
31.55	2.836	1

Cell: 5.649 5.649 8.054 Å, 90.00 90.00 90.00°
Atoms (fractional coordinates):
Ho 0.000 0.000 0.000
Pd 0.000 0.000 0.500
Pd 0.000 0.500 0.000
Pd 0.000 0.500 0.500
Pd 0.251 0.251 0.255
Pd 0.251 0.251 0.745
Pd 0.251 0.749 0.255
Pd 0.251 0.749 0.745
Pd 0.500 0.000 0.000
Pd 0.500 0.000 0.500
Pd 0.500 0.500 0.500
Pd 0.749 0.251 0.255
Pd 0.749 0.251 0.745
Pd 0.749 0.749 0.255
Pd 0.749 0.749 0.745
Au 0.500 0.500 0.000

For CsGe5Au4, a structure optimized by DFT (PBE) gives the theoretical powder diffraction line list in this record (Cu Kα (weighted mean of Kα1 and Kα2)).

Top 10 peaks for 2θ = 5–70°, in order of falling intensity:
Position (°2θ)	d/Å	I_rel
27.68	3.223	100
29.54	3.024	93
45.70	1.985	50
24.67	3.609	45
26.66	3.344	38
31.94	2.802	37
40.63	2.221	36
28.70	3.111	35
30.97	2.888	30
21.53	4.127	29

Cell: 8.888 12.893 4.356 Å, 90.00 90.00 90.00°
Atoms (fractional coordinates):
Cs 0.250 0.250 0.235
Cs 0.750 0.750 0.765
Ge 0.007 0.558 0.235
Ge 0.007 0.942 0.235
Ge 0.250 0.750 0.725
Ge 0.493 0.558 0.235
Ge 0.493 0.942 0.235
Ge 0.507 0.058 0.765
Ge 0.507 0.442 0.765
Ge 0.750 0.250 0.275
Ge 0.993 0.058 0.765
Ge 0.993 0.442 0.765
Au 0.076 0.750 0.226
Au 0.250 0.001 0.532
Au 0.250 0.499 0.532
Au 0.424 0.750 0.226
Au 0.576 0.250 0.774
Au 0.750 0.501 0.468
Au 0.750 0.999 0.468
Au 0.924 0.250 0.774

For NaThPt10, a structure optimized by DFT (PBE) gives the theoretical powder diffraction line list in this record (Cu Kα (weighted mean of Kα1 and Kα2)).

Top 10 peaks for 2θ = 5–70°, in order of falling intensity:
Position (°2θ)	d/Å	I_rel
39.20	2.298	100
43.71	2.071	63
40.80	2.212	54
38.93	2.313	51
18.93	4.687	42
44.03	2.056	29
38.41	2.343	27
63.11	1.473	25
69.94	1.345	22
19.10	4.646	22

Cell: 4.423 5.428 9.291 Å, 90.00 90.00 90.00°
Atoms (fractional coordinates):
Na 0.000 0.000 0.000
Th 0.000 0.500 0.500
Pt 0.000 0.000 0.331
Pt 0.000 0.000 0.669
Pt 0.000 0.500 0.166
Pt 0.000 0.500 0.834
Pt 0.500 0.000 0.500
Pt 0.500 0.254 0.254
Pt 0.500 0.254 0.746
Pt 0.500 0.500 0.000
Pt 0.500 0.746 0.254
Pt 0.500 0.746 0.746

For RbAcSeO6, a structure optimized by DFT (PBE) gives the theoretical powder diffraction line list in this record (Cu Kα (weighted mean of Kα1 and Kα2)).

Top 10 peaks for 2θ = 5–70°, in order of falling intensity:
Position (°2θ)	d/Å	I_rel
24.67	3.609	100
32.10	2.789	47
40.90	2.207	44
16.32	5.430	28
52.91	1.730	24
38.02	2.367	24
18.37	4.830	22
46.69	1.945	19
50.58	1.804	17
36.21	2.481	16

Cell: 5.577 5.577 5.430 Å, 90.00 90.00 120.00°
Atoms (fractional coordinates):
Rb 0.000 0.000 0.000
Ac 0.667 0.333 0.474
Se 0.333 0.667 0.653
O 0.018 0.509 0.822
O 0.184 0.367 0.442
O 0.184 0.816 0.442
O 0.491 0.509 0.822
O 0.491 0.982 0.822
O 0.633 0.816 0.442